[1]
AcY4Tm4: theoretical powder XRD pattern (Cu Ka), based on a DFT-relaxed cell (PBE, Alexandria).
Intensities are scaled so that the largest is 100.

The 10 most intense peaks (10° ≤ 2θ ≤ 90°), by angle:
2θ/deg  I_rel
29.50  21
30.39  50
30.71  100
31.01  39
31.28  54
32.44  29
34.63  16
35.41  39
40.60  16
57.11  20

Structural model:
```
data_AcY4Tm4
_symmetry_space_group_name_H-M 'C 1 2/m 1'
_symmetry_Int_Tables_number 12
_cell_length_a 6.3533
_cell_length_b 17.3006
_cell_length_c 10.9179
_cell_angle_alpha 90.00
_cell_angle_beta 100.02
_cell_angle_gamma 90.00
loop_
_symmetry_equiv_pos_as_xyz
'x,y,z'
'-x,-y,-z'
'-x,y,-z'
'x,-y,z'
'x+1/2,y+1/2,z'
'-x+1/2,-y+1/2,-z'
'-x+1/2,y+1/2,-z'
'x+1/2,-y+1/2,z'
loop_
_atom_site_label
_atom_site_fract_x
_atom_site_fract_y
_atom_site_fract_z
Ac1 0.2224 0.0000 0.2750
Y1 0.0217 0.1894 0.6660
Y2 0.2263 0.0000 0.6135
Y3 0.2294 0.0000 0.9431
Tm1 0.0000 0.1852 0.0000
Tm2 0.0000 0.3565 0.5000
Tm3 0.0013 0.3556 0.1599
```

[2]
AcY6Tm: theoretical powder XRD pattern (Cu Ka), based on a DFT-relaxed cell (PBE, Alexandria).
Intensities are scaled so that the largest is 100.

The 10 most intense peaks (10° ≤ 2θ ≤ 90°), by angle:
2θ/deg  I_rel
14.92  40
15.01  20
29.03  33
29.58  32
30.05  73
30.17  100
30.29  44
31.32  25
31.83  29
32.44  26

Structural model:
```
data_AcY6Tm
_symmetry_space_group_name_H-M 'P -1'
_symmetry_Int_Tables_number 2
_cell_length_a 6.7305
_cell_length_b 6.8458
_cell_length_c 6.8701
_cell_angle_alpha 119.68
_cell_angle_beta 91.38
_cell_angle_gamma 95.58
loop_
_symmetry_equiv_pos_as_xyz
'x,y,z'
'-x,-y,-z'
loop_
_atom_site_label
_atom_site_fract_x
_atom_site_fract_y
_atom_site_fract_z
Ac1 0.0000 0.0000 0.0000
Y1 0.2599 0.5729 0.5222
Y2 0.2621 0.5672 0.0421
Y3 0.2768 0.0934 0.5439
Tm1 0.5000 0.0000 0.0000
```

[3]
AcY4Tm6: theoretical powder XRD pattern (Cu Ka), based on a DFT-relaxed cell (PBE, Alexandria).
Intensities are scaled so that the largest is 100.

The 10 most intense peaks (10° ≤ 2θ ≤ 90°), by angle:
2θ/deg  I_rel
30.51  71
31.47  100
33.47  21
44.40  25
55.41  17
55.50  9
55.99  13
60.32  14
65.76  8
74.10  8

Structural model:
```
data_AcY4Tm6
_symmetry_space_group_name_H-M 'C m c m'
_symmetry_Int_Tables_number 63
_symmetry_space_group_name_Hall '-C 2c 2'
_cell_length_a 5.6941
_cell_length_b 9.8313
_cell_length_c 25.5198
_cell_angle_alpha 90.00
_cell_angle_beta 90.00
_cell_angle_gamma 90.00
loop_
_atom_site_label
_atom_site_fract_x
_atom_site_fract_y
_atom_site_fract_z
Ac1 0.0000 0.1693 0.2500
Y1 0.0000 0.1660 0.5412
Y2 0.0000 0.4977 0.6221
Tm1 0.0000 0.1642 0.6798
Tm2 0.0000 0.1685 0.0996
Tm3 0.0000 0.4969 0.7500
Tm4 0.0000 0.5000 0.0000
```